This entry pairs a crystal structure of CaB2H4O6 with its computed PXRD pattern. Radiation: Cu Kα X-rays. Structure: a PBE-relaxed structure.
Neutral-atom scattering factors, no anomalous dispersion.

Structural model:
Cell lengths 10.135, 9.769, 4.428 Å; angles 90.00, 91.06, 90.00 degrees
Space group C2/c (No. 15)
Unique sites:
Ca  0.000  0.208  0.250
B  0.209  0.068  0.811
H  0.115  0.475  0.370
H  0.203  0.275  0.716
O  0.142  0.417  0.198
O  0.143  0.196  0.702
O  0.167  0.049  0.124

Peak list (10 most intense, 2θ from 10° to 80°, in order of rising 2θ)
two_theta  intensity  h k l
12.59  54  1 1 0
23.89  53  1 1 1
25.33  100  2 2 0
28.80  34  1 3 0
34.35  44  3 1 -1
34.94  32  3 1 1
40.77  48  0 0 2
43.45  47  3 3 -1
43.94  42  3 3 1
44.95  49  2 0 2